Record 1
The following is a computed X-ray diffraction stick pattern of LiY6Mg. It was derived from DFT lattice parameters and positions (PBE), using λ = 1.5418 Å (Cu Kα).
No peak broadening, texture or thermal motion is included.

Principal peaks in the range 10 to 80 degrees two-theta, sorted by position:
2θ/deg, I_rel
20.06, 28
20.20, 27
31.99, 100
32.16, 100
35.20, 26
50.56, 24

a b c (Å): 6.232 6.242 6.245
angles (deg): 90.43 90.33 90.41
Space group P-1 (No. 2)
Unique sites:
1 Li 0.000 0.000 0.000 (multiplicity 1)
2 Y 0.017 0.252 0.482 (multiplicity 2)
3 Y 0.252 0.511 0.979 (multiplicity 2)
4 Y 0.485 0.979 0.252 (multiplicity 2)
5 Mg 0.500 0.500 0.500 (multiplicity 1)



Record 2
The following is a computed X-ray diffraction stick pattern of LiYMg4. It was derived from DFT lattice parameters and positions (PBE), using λ = 1.5418 Å (Cu Kα).
No peak broadening, texture or thermal motion is included.

Principal peaks in the range 10 to 80 degrees two-theta, sorted by position:
2θ/deg, I_rel
14.40, 57
19.24, 26
29.03, 38
32.60, 100
34.05, 92
36.43, 44

a b c (Å): 3.754 18.456 8.255
angles (deg): 90.00 90.00 90.00
Space group Cmcm (No. 63)
Unique sites:
1 Li 0.000 0.247 0.250 (multiplicity 4)
2 Y 0.000 0.107 0.750 (multiplicity 4)
3 Mg 0.000 0.078 0.250 (multiplicity 4)
4 Mg 0.000 0.322 0.546 (multiplicity 8)
5 Mg 0.000 0.500 0.000 (multiplicity 4)



Record 3
The following is a computed X-ray diffraction stick pattern of Li6YMg6. It was derived from DFT lattice parameters and positions (PBE), using λ = 1.5418 Å (Cu Kα).
No peak broadening, texture or thermal motion is included.

Principal peaks in the range 10 to 80 degrees two-theta, sorted by position:
2θ/deg, I_rel
17.31, 96
18.51, 79
31.43, 100
32.89, 48
35.84, 93
36.10, 85

a b c (Å): 5.446 10.016 10.249
angles (deg): 90.00 90.00 90.00
Space group Immm (No. 71)
Unique sites:
1 Li 0.000 0.000 0.220 (multiplicity 4)
2 Li 0.250 0.250 0.250 (multiplicity 8)
3 Y 0.000 0.500 0.500 (multiplicity 2)
4 Mg 0.000 0.152 0.500 (multiplicity 4)
5 Mg 0.000 0.197 0.000 (multiplicity 4)
6 Mg 0.000 0.500 0.150 (multiplicity 4)



Record 4
The following is a computed X-ray diffraction stick pattern of Li5Mg6Zn. It was derived from DFT lattice parameters and positions (PBE), using λ = 1.5418 Å (Cu Kα).
No peak broadening, texture or thermal motion is included.

Principal peaks in the range 10 to 80 degrees two-theta, sorted by position:
2θ/deg, I_rel
12.45, 36
14.38, 53
19.51, 26
37.41, 100
37.53, 66
37.97, 32

a b c (Å): 14.976 6.836 4.802
angles (deg): 90.00 108.28 90.00
Space group C2/m (No. 12)
Unique sites:
1 Li 0.000 0.000 0.000 (multiplicity 2)
2 Li 0.166 0.000 0.666 (multiplicity 4)
3 Li 0.170 0.500 0.670 (multiplicity 4)
4 Mg 0.000 0.257 0.500 (multiplicity 4)
5 Mg 0.164 0.253 0.164 (multiplicity 8)
6 Zn 0.000 0.500 0.000 (multiplicity 2)